No. 1
Te2MoO8: simulated powder diffractogram (Cu Kα (λ = 1.5418 Å)), based on the PBE+U geometry in Alexandria.

The 10 most intense peaks (15° ≤ 2θ ≤ 90°), in order of rising 2θ:
Position (°2θ)  d_spacing  I (rel.)  h k l
16.61  5.336  44  2 0 0
18.35  4.834  44  1 1 0
19.56  4.538  26  0 0 1
24.45  3.641  29  1 1 -1
29.25  3.053  100  1 1 1
30.15  2.964  82  3 1 -1
33.04  2.711  38  0 2 0
33.59  2.668  18  4 0 0
47.83  1.902  31  4 2 0
50.11  1.820  20  2 2 -2

Atomic structure:
a b c (Å): 11.5657 5.4221 4.9176
angles (deg): 90.00 112.67 90.00
Space group C2/m (No. 12)
One atom of each set of equivalent atoms:
1 Te 0.2445 0.0000 0.2792
2 Mo 0.0000 0.0000 0.5000
3 O 0.0868 0.0000 0.9033
4 O 0.1324 0.2345 0.4435
5 O 0.1706 0.5000 0.9687

No. 2
Te2MoO7: simulated powder diffractogram (Cu Kα (λ = 1.5418 Å)), based on the PBE+U geometry in Alexandria.

The 10 most intense peaks (15° ≤ 2θ ≤ 90°), in order of rising 2θ:
Position (°2θ)  d_spacing  I (rel.)  h k l
19.29  4.602  62  0 1 3
22.16  4.011  38  1 0 -2
22.33  3.982  77  0 2 2
22.74  3.911  75  1 1 -1
25.62  3.476  80  0 2 3
28.65  3.116  43  1 0 -4
29.58  3.020  100  1 2 -2
29.67  3.011  67  0 2 4
31.28  2.860  46  0 3 2
49.91  1.827  42  0 3 7

Atomic structure:
a b c (Å): 4.3795 9.1904 16.0453
angles (deg): 90.00 96.32 90.00
Space group P2_1/c (No. 14)
One atom of each set of equivalent atoms:
1 Te 0.1655 0.0279 0.2796
2 Te 0.2923 0.2123 0.6122
3 Mo 0.1183 0.6312 0.5687
4 O 0.0235 0.6837 0.0626
5 O 0.0302 0.1006 0.0514
6 O 0.0625 0.6014 0.6865
7 O 0.1060 0.6524 0.8588
8 O 0.4091 0.1588 0.2018
9 O 0.4169 0.0329 0.6877
10 O 0.4844 0.1253 0.9314

No. 3
TlMo6O17: simulated powder diffractogram (Cu Kα (λ = 1.5418 Å)), based on the PBE+U geometry in Alexandria.

The 10 most intense peaks (15° ≤ 2θ ≤ 90°), in order of rising 2θ:
Position (°2θ)  d_spacing  I (rel.)  h k l
18.18  4.879  24  1 0 0
19.20  4.622  37  1 0 1
21.99  4.042  96  0 1 2
26.01  3.425  100  0 1 3
30.83  2.901  43  1 0 4
31.77  2.817  79  1 1 0
41.50  2.176  20  2 0 3
44.85  2.021  32  0 2 4
53.19  1.722  29  1 2 3
55.22  1.664  42  1 1 7

Atomic structure:
a b c (Å): 5.6339 5.6339 14.4299
angles (deg): 90.00 90.00 120.00
Space group P-3m1 (No. 164)
One atom of each set of equivalent atoms:
1 Tl 0.0000 0.0000 0.0000
2 Mo 0.0000 0.0000 0.2879
3 Mo 0.3333 0.6667 0.4313
4 Mo 0.3333 0.6667 0.8544
5 O 0.0000 0.5000 0.5000
6 O 0.1582 0.3163 0.8144
7 O 0.1637 0.3274 0.3475
8 O 0.3333 0.6667 0.9761

No. 4
TlMoO: simulated powder diffractogram (Cu Kα (λ = 1.5418 Å)), based on the PBE+U geometry in Alexandria.

The 10 most intense peaks (15° ≤ 2θ ≤ 90°), in order of rising 2θ:
Position (°2θ)  d_spacing  I (rel.)  h k l
20.51  4.330  59  0 1 -1
24.74  3.598  50  0 0 2
29.16  3.063  73  0 1 2
29.35  3.043  100  1 0 0
30.02  2.977  69  0 1 -2
31.83  2.811  61  1 0 -1
34.27  2.617  68  0 2 1
38.58  2.333  85  1 1 2
39.76  2.267  99  1 -1 1
51.55  1.773  47  -1 2 1

Atomic structure:
a b c (Å): 3.1644 5.7735 7.1995
angles (deg): 88.25 89.87 74.10
Space group P1 (No. 1)
One atom of each set of equivalent atoms:
1 Tl 0.0000 0.0000 0.0000
2 Tl 0.2617 0.4720 0.2132
3 Mo 0.1537 0.6872 0.6151
4 Mo 0.8922 0.2098 0.5720
5 O 0.5236 0.9481 0.5206
6 O 0.7474 0.4987 0.7324

No. 5
Tl2Mo3O10: simulated powder diffractogram (Cu Kα (λ = 1.5418 Å)), based on the PBE+U geometry in Alexandria.

The 10 most intense peaks (15° ≤ 2θ ≤ 90°), in order of rising 2θ:
Position (°2θ)  d_spacing  I (rel.)  h k l
20.47  4.339  39  0 2 0
22.82  3.896  84  0 2 -2
23.99  3.709  89  1 -2 0
24.27  3.667  90  1 2 -1
25.67  3.470  100  0 1 2
27.32  3.264  59  1 -1 2
27.83  3.206  56  1 1 -3
29.23  3.055  80  2 0 -1
30.91  2.893  50  0 3 0
43.04  2.102  39  1 4 -3

Atomic structure:
a b c (Å): 6.1138 9.3282 9.9625
angles (deg): 110.23 106.72 90.81
Space group P1 (No. 1)
One atom of each set of equivalent atoms:
1 Tl 0.0000 0.0000 0.0000
2 Tl 0.0527 0.5725 0.1179
3 Tl 0.1601 0.9793 0.4061
4 Tl 0.2855 0.7046 0.7174
5 Mo 0.4221 0.3483 0.3458
6 Mo 0.4828 0.3026 0.9735
7 Mo 0.5914 0.7760 0.1849
8 Mo 0.6980 0.9072 0.5670
9 Mo 0.8176 0.3470 0.7106
10 Mo 0.9143 0.3335 0.3591
11 O 0.1465 0.1900 0.3169
12 O 0.1995 0.4795 0.4202
13 O 0.2156 0.3333 0.8632
14 O 0.3329 0.3420 0.1525
15 O 0.3455 0.8277 0.0740
16 O 0.4398 0.9199 0.6224
17 O 0.4467 0.1066 0.9357
18 O 0.4490 0.8244 0.3535
19 O 0.5410 0.3466 0.5894
20 O 0.5706 0.5685 0.1033
21 O 0.6047 0.1893 0.3205
22 O 0.6758 0.4921 0.4232
23 O 0.6894 0.3178 0.8707
24 O 0.7891 0.3284 0.1676
25 O 0.8247 0.8482 0.1384
26 O 0.8311 0.1071 0.6518
27 O 0.8407 0.8425 0.3993
28 O 0.8610 0.8067 0.6733
29 O 0.9076 0.5418 0.8214
30 O 0.9718 0.3325 0.5661

No. 6
TlMoO4: simulated powder diffractogram (Cu Kα (λ = 1.5418 Å)), based on the PBE+U geometry in Alexandria.

The 10 most intense peaks (15° ≤ 2θ ≤ 90°), in order of rising 2θ:
Position (°2θ)  d_spacing  I (rel.)  h k l
25.86  3.445  100  1 1 -1
31.40  2.849  27  2 0 0
31.84  2.811  47  1 1 1
33.13  2.704  21  0 0 2
36.12  2.487  15  0 2 0
48.60  1.873  17  2 2 0
48.91  1.862  19  3 1 -1
49.82  1.830  18  0 2 2
51.32  1.780  16  1 1 -3
53.17  1.723  16  2 2 -2

Atomic structure:
a b c (Å): 6.0275 4.9735 5.7205
angles (deg): 90.00 109.03 90.00
Space group P2_1/c (No. 14)
One atom of each set of equivalent atoms:
1 Tl 0.0000 0.0000 0.0000
2 Mo 0.5000 0.0000 0.5000
3 O 0.1740 0.1473 0.3740
4 O 0.3927 0.7257 0.6834